(1)
Structure and computed X-ray diffraction stick pattern of Hf4Pd6Pt7 (a crystal structure in Alexandria, relaxed with PBE; λ = 1.5418 Å (Cu Kα)).

Atomic structure:
Lattice parameters (Å, degrees): 7.2290 7.2290 7.2290 109.47 109.47 109.47
Fractional positions:
Hf: 0.0000 0.0000 0.5000
Hf: 0.0000 0.5000 0.0000
Hf: 0.5000 0.0000 0.0000
Hf: 0.5000 0.5000 0.5000
Pd: 0.0000 0.2988 0.2988
Pd: 0.0000 0.7012 0.7012
Pd: 0.2988 0.0000 0.2988
Pd: 0.2988 0.2988 0.0000
Pd: 0.7012 0.0000 0.7012
Pd: 0.7012 0.7012 0.0000
Pt: 0.0000 0.0000 0.0000
Pt: 0.2500 0.5000 0.7500
Pt: 0.2500 0.7500 0.5000
Pt: 0.5000 0.2500 0.7500
Pt: 0.5000 0.7500 0.2500
Pt: 0.7500 0.2500 0.5000
Pt: 0.7500 0.5000 0.2500

The 10 most intense peaks (2θ from 10° to 90°), by intensity:
- 2.410 Å, 2θ 37.32, rel. 100
- 2.087 Å, 2θ 43.36, rel. 67
- 1.476 Å, 2θ 62.99, rel. 40
- 1.258 Å, 2θ 75.56, rel. 31
- 2.231 Å, 2θ 40.43, rel. 26
- 1.780 Å, 2θ 51.34, rel. 14
- 1.205 Å, 2θ 79.56, rel. 12
- 3.408 Å, 2θ 26.15, rel. 11
- 1.136 Å, 2θ 85.48, rel. 9
- 1.231 Å, 2θ 77.57, rel. 8

=====

(2)
Structure and computed X-ray diffraction stick pattern of Hf2Pd5Pt5 (a crystal structure in Alexandria, relaxed with PBE; λ = 1.5418 Å (Cu Kα)).

Atomic structure:
Lattice parameters (Å, degrees): 6.3143 6.3143 8.9712 114.42 114.42 36.79
Fractional positions:
Hf: 0.0842 0.0842 0.2532
Hf: 0.9158 0.9158 0.7468
Pd: 0.0000 0.0000 0.5000
Pd: 0.1671 0.1671 0.0004
Pd: 0.2540 0.2540 0.7524
Pd: 0.7460 0.7460 0.2476
Pd: 0.8329 0.8329 0.9996
Pt: 0.3339 0.3339 0.4967
Pt: 0.4189 0.4189 0.2478
Pt: 0.5000 0.5000 0.0000
Pt: 0.5811 0.5811 0.7522
Pt: 0.6661 0.6661 0.5033

The 10 most intense peaks (2θ from 10° to 90°), by intensity:
- 2.321 Å, 2θ 38.80, rel. 100
- 2.304 Å, 2θ 39.09, rel. 98
- 2.019 Å, 2θ 44.90, rel. 33
- 1.997 Å, 2θ 45.41, rel. 32
- 1.993 Å, 2θ 45.52, rel. 32
- 1.411 Å, 2θ 66.23, rel. 31
- 1.202 Å, 2θ 79.79, rel. 25
- 1.418 Å, 2θ 65.86, rel. 21
- 1.218 Å, 2θ 78.52, rel. 13
- 1.209 Å, 2θ 79.26, rel. 13

=====

(3)
Structure and computed X-ray diffraction stick pattern of HfPd2Pt4 (a crystal structure in Alexandria, relaxed with PBE; λ = 1.5418 Å (Cu Kα)).

Atomic structure:
Lattice parameters (Å, degrees): 4.7693 5.5637 5.5882 60.45 72.77 89.95
Fractional positions:
Hf: 0.0000 0.0000 0.0000
Pd: 0.4935 0.7477 0.5049
Pd: 0.5065 0.2523 0.4951
Pt: 0.0000 0.0000 0.5000
Pt: 0.0000 0.5000 0.5000
Pt: 0.4999 0.2579 0.9995
Pt: 0.5001 0.7421 0.0005

The 10 most intense peaks (2θ from 10° to 90°), by intensity:
- 1.968 Å, 2θ 46.11, rel. 100
- 2.286 Å, 2θ 39.42, rel. 78
- 2.275 Å, 2θ 39.61, rel. 77
- 2.270 Å, 2θ 39.71, rel. 76
- 2.243 Å, 2θ 40.21, rel. 74
- 1.956 Å, 2θ 46.42, rel. 49
- 3.941 Å, 2θ 22.56, rel. 33
- 1.380 Å, 2θ 67.91, rel. 32
- 1.191 Å, 2θ 80.69, rel. 20
- 1.185 Å, 2θ 81.17, rel. 19

=====

(4)
Structure and computed X-ray diffraction stick pattern of HfPd5Pt2 (a crystal structure in Alexandria, relaxed with PBE; λ = 1.5418 Å (Cu Kα)).

Atomic structure:
Lattice parameters (Å, degrees): 5.6552 11.3124 3.9735 90.00 90.00 90.00
Fractional positions:
Hf: 0.0000 0.0000 0.0000
Hf: 0.5000 0.5000 0.0000
Pd: 0.0000 0.5000 0.0000
Pd: 0.0041 0.2464 0.0000
Pd: 0.2491 0.8746 0.5000
Pd: 0.2509 0.3746 0.5000
Pd: 0.4959 0.7464 0.0000
Pd: 0.5000 0.0000 0.0000
Pd: 0.5041 0.2536 0.0000
Pd: 0.7491 0.6254 0.5000
Pd: 0.7509 0.1254 0.5000
Pd: 0.9959 0.7536 0.0000
Pt: 0.2502 0.1224 0.5000
Pt: 0.2498 0.6224 0.5000
Pt: 0.7502 0.3776 0.5000
Pt: 0.7498 0.8776 0.5000

The 10 most intense peaks (2θ from 10° to 90°), by intensity:
- 2.304 Å, 2θ 39.10, rel. 100
- 2.000 Å, 2θ 45.35, rel. 33
- 1.205 Å, 2θ 79.54, rel. 25
- 1.409 Å, 2θ 66.32, rel. 21
- 1.987 Å, 2θ 45.66, rel. 16
- 1.199 Å, 2θ 79.99, rel. 12
- 1.152 Å, 2θ 84.01, rel. 11
- 1.414 Å, 2θ 66.08, rel. 11
- 3.999 Å, 2θ 22.23, rel. 5
- 2.819 Å, 2θ 31.75, rel. 4

=====

(5)
Structure and computed X-ray diffraction stick pattern of HfPd6Pt23 (a crystal structure in Alexandria, relaxed with PBE; λ = 1.5418 Å (Cu Kα)).

Atomic structure:
Lattice parameters (Å, degrees): 9.6097 9.6097 9.6097 131.50 131.50 71.02
Fractional positions:
Hf: 0.0000 0.0000 0.0000
Pd: 0.2483 0.2483 0.4966
Pd: 0.2483 0.7517 0.0000
Pd: 0.2504 0.2504 0.0000
Pd: 0.7496 0.7496 0.0000
Pd: 0.7517 0.2483 0.0000
Pd: 0.7517 0.7517 0.5034
Pt: 0.0000 0.0000 0.5000
Pt: 0.0000 0.5000 0.0000
Pt: 0.0000 0.5000 0.5000
Pt: 0.1196 0.3725 0.7471
Pt: 0.1259 0.8715 0.2543
Pt: 0.1285 0.3828 0.2543
Pt: 0.1285 0.8741 0.7457
Pt: 0.3725 0.1196 0.7471
Pt: 0.3725 0.6254 0.2529
Pt: 0.3746 0.6275 0.7471
Pt: 0.3828 0.1285 0.2543
Pt: 0.5000 0.0000 0.0000
Pt: 0.5000 0.0000 0.5000
Pt: 0.5000 0.5000 0.0000
Pt: 0.5000 0.5000 0.5000
Pt: 0.6172 0.8715 0.7457
Pt: 0.6254 0.3725 0.2529
Pt: 0.6275 0.3746 0.7471
Pt: 0.6275 0.8804 0.2529
Pt: 0.8715 0.1259 0.2543
Pt: 0.8715 0.6172 0.7457
Pt: 0.8741 0.1285 0.7457
Pt: 0.8804 0.6275 0.2529

The 10 most intense peaks (2θ from 10° to 90°), by intensity:
- 2.272 Å, 2θ 39.67, rel. 100
- 1.973 Å, 2θ 45.99, rel. 33
- 1.189 Å, 2θ 80.84, rel. 26
- 1.389 Å, 2θ 67.42, rel. 21
- 1.956 Å, 2θ 46.43, rel. 16
- 1.181 Å, 2θ 81.48, rel. 12
- 1.136 Å, 2θ 85.48, rel. 11
- 1.395 Å, 2θ 67.07, rel. 11
- 3.524 Å, 2θ 25.28, rel. 9
- 3.911 Å, 2θ 22.73, rel. 3

=====

(6)
Structure and computed X-ray diffraction stick pattern of TmHfRePd (a crystal structure in Alexandria, relaxed with PBE; λ = 1.5418 Å (Cu Kα)).

Atomic structure:
Lattice parameters (Å, degrees): 6.6940 6.6940 6.6940 90.00 90.00 90.00
Fractional positions:
Tm: 0.0000 0.0000 0.0000
Tm: 0.0000 0.5000 0.5000
Tm: 0.5000 0.0000 0.5000
Tm: 0.5000 0.5000 0.0000
Hf: 0.0000 0.0000 0.5000
Hf: 0.0000 0.5000 0.0000
Hf: 0.5000 0.0000 0.0000
Hf: 0.5000 0.5000 0.5000
Re: 0.2500 0.2500 0.2500
Re: 0.2500 0.7500 0.7500
Re: 0.7500 0.2500 0.7500
Re: 0.7500 0.7500 0.2500
Pd: 0.2500 0.2500 0.7500
Pd: 0.2500 0.7500 0.2500
Pd: 0.7500 0.2500 0.2500
Pd: 0.7500 0.7500 0.7500

The 10 most intense peaks (2θ from 10° to 90°), by intensity:
- 2.367 Å, 2θ 38.02, rel. 100
- 1.366 Å, 2θ 68.69, rel. 35
- 1.673 Å, 2θ 54.86, rel. 17
- 1.183 Å, 2θ 81.31, rel. 11
- 3.865 Å, 2θ 23.01, rel. 3
- 2.018 Å, 2θ 44.91, rel. 2
- 3.347 Å, 2θ 26.63, rel. 1
- 1.536 Å, 2θ 60.26, rel. 1
- 1.131 Å, 2θ 85.90, rel. 1
- 1.288 Å, 2θ 73.51, rel. 1

=====

(7)
Structure and computed X-ray diffraction stick pattern of Hf4Pd4Rh5 (a crystal structure in Alexandria, relaxed with PBE; λ = 1.5418 Å (Cu Kα)).

Atomic structure:
Lattice parameters (Å, degrees): 7.5156 7.5156 7.5156 94.17 94.17 148.72
Fractional positions:
Hf: 0.1265 0.2260 0.3525
Hf: 0.2260 0.8735 0.0995
Hf: 0.7740 0.1265 0.9005
Hf: 0.8735 0.7740 0.6475
Pd: 0.0898 0.6128 0.7026
Pd: 0.3872 0.0898 0.4771
Pd: 0.6128 0.9102 0.5229
Pd: 0.9102 0.3872 0.2974
Rh: 0.0000 0.0000 0.0000
Rh: 0.3104 0.4392 0.7496
Rh: 0.4392 0.6896 0.1288
Rh: 0.5608 0.3104 0.8712
Rh: 0.6896 0.5608 0.2504

The 10 most intense peaks (2θ from 10° to 90°), by intensity:
- 2.325 Å, 2θ 38.73, rel. 100
- 2.007 Å, 2θ 45.17, rel. 27
- 2.026 Å, 2θ 44.73, rel. 18
- 1.426 Å, 2θ 65.46, rel. 18
- 1.211 Å, 2θ 79.04, rel. 15
- 1.220 Å, 2θ 78.41, rel. 13
- 1.162 Å, 2θ 83.09, rel. 7
- 1.419 Å, 2θ 65.80, rel. 6
- 2.117 Å, 2θ 42.72, rel. 6
- 3.237 Å, 2θ 27.56, rel. 5

=====

(8)
Structure and computed X-ray diffraction stick pattern of Hf8Pd3Rh2 (a crystal structure in Alexandria, relaxed with PBE; λ = 1.5418 Å (Cu Kα)).

Atomic structure:
Lattice parameters (Å, degrees): 8.0333 8.0333 5.4156 94.37 94.37 48.80
Fractional positions:
Hf: 0.0531 0.0531 0.2565
Hf: 0.0879 0.6182 0.1689
Hf: 0.3329 0.3329 0.6770
Hf: 0.3818 0.9121 0.8311
Hf: 0.6182 0.0879 0.1689
Hf: 0.6671 0.6671 0.3230
Hf: 0.9121 0.3818 0.8311
Hf: 0.9469 0.9469 0.7435
Pd: 0.3116 0.6884 0.5000
Pd: 0.5000 0.5000 0.0000
Pd: 0.6884 0.3116 0.5000
Rh: 0.2277 0.2277 0.2433
Rh: 0.7723 0.7723 0.7567

The 10 most intense peaks (2θ from 10° to 90°), by intensity:
- 2.675 Å, 2θ 33.50, rel. 100
- 2.467 Å, 2θ 36.42, rel. 53
- 2.431 Å, 2θ 36.97, rel. 27
- 2.188 Å, 2θ 41.27, rel. 23
- 2.598 Å, 2θ 34.52, rel. 22
- 2.323 Å, 2θ 38.76, rel. 17
- 1.581 Å, 2θ 58.35, rel. 14
- 2.698 Å, 2θ 33.20, rel. 14
- 1.659 Å, 2θ 55.38, rel. 14
- 2.261 Å, 2θ 39.87, rel. 13

=====

(9)
Structure and computed X-ray diffraction stick pattern of Hf4PdRu (a crystal structure in Alexandria, relaxed with PBE; λ = 1.5418 Å (Cu Kα)).

Atomic structure:
Lattice parameters (Å, degrees): 14.3947 3.2105 5.4959 90.00 112.05 90.00
Fractional positions:
Hf: 0.1554 0.0000 0.4935
Hf: 0.1576 0.5000 0.9873
Hf: 0.3424 0.0000 0.0127
Hf: 0.3446 0.5000 0.5065
Hf: 0.6554 0.5000 0.4935
Hf: 0.6576 0.0000 0.9873
Hf: 0.8424 0.5000 0.0127
Hf: 0.8446 0.0000 0.5065
Pd: 0.0000 0.0000 0.0000
Pd: 0.5000 0.5000 0.0000
Ru: 0.0000 0.5000 0.5000
Ru: 0.5000 0.0000 0.5000

The 10 most intense peaks (2θ from 10° to 90°), by intensity:
- 2.557 Å, 2θ 35.09, rel. 100
- 2.136 Å, 2θ 42.32, rel. 55
- 2.547 Å, 2θ 35.24, rel. 47
- 2.224 Å, 2θ 40.57, rel. 29
- 2.114 Å, 2θ 42.78, rel. 26
- 1.591 Å, 2θ 57.96, rel. 23
- 1.358 Å, 2θ 69.18, rel. 13
- 1.427 Å, 2θ 65.41, rel. 13
- 1.605 Å, 2θ 57.40, rel. 12
- 1.302 Å, 2θ 72.64, rel. 10

=====

(10)
Structure and computed X-ray diffraction stick pattern of Hf4PdS (a crystal structure in Alexandria, relaxed with PBE; λ = 1.5418 Å (Cu Kα)).

Atomic structure:
Lattice parameters (Å, degrees): 13.5237 3.3338 5.9599 90.00 115.17 90.00
Fractional positions:
Hf: 0.1514 0.0000 0.3191
Hf: 0.1551 0.5000 0.8213
Hf: 0.3449 0.0000 0.1787
Hf: 0.3486 0.5000 0.6809
Hf: 0.6514 0.5000 0.3191
Hf: 0.6551 0.0000 0.8213
Hf: 0.8449 0.5000 0.1787
Hf: 0.8486 0.0000 0.6809
Pd: 0.0000 0.0000 0.5000
Pd: 0.5000 0.5000 0.5000
S: 0.0000 0.5000 0.0000
S: 0.5000 0.0000 0.0000

The 10 most intense peaks (2θ from 10° to 90°), by intensity:
- 2.636 Å, 2θ 34.01, rel. 100
- 2.661 Å, 2θ 33.68, rel. 51
- 2.100 Å, 2θ 43.08, rel. 48
- 1.706 Å, 2θ 53.72, rel. 28
- 2.153 Å, 2θ 41.96, rel. 26
- 1.318 Å, 2θ 71.58, rel. 20
- 2.040 Å, 2θ 44.41, rel. 19
- 3.060 Å, 2θ 29.19, rel. 16
- 1.413 Å, 2θ 66.15, rel. 15
- 2.619 Å, 2θ 34.24, rel. 13

=====

(11)
Structure and computed X-ray diffraction stick pattern of HfPdS (a crystal structure in Alexandria, relaxed with PBE; λ = 1.5418 Å (Cu Kα)).

Atomic structure:
Lattice parameters (Å, degrees): 3.4996 3.4996 8.3146 90.00 90.00 90.00
Fractional positions:
Hf: 0.2500 0.2500 0.2369
Hf: 0.7500 0.7500 0.7631
Pd: 0.2500 0.2500 0.5705
Pd: 0.7500 0.7500 0.4295
S: 0.2500 0.2500 0.8713
S: 0.7500 0.7500 0.1287

The 10 most intense peaks (2θ from 10° to 90°), by intensity:
- 2.173 Å, 2θ 41.56, rel. 100
- 2.475 Å, 2θ 36.30, rel. 83
- 1.363 Å, 2θ 68.90, rel. 44
- 3.226 Å, 2θ 27.66, rel. 36
- 1.750 Å, 2θ 52.28, rel. 29
- 8.315 Å, 2θ 10.64, rel. 27
- 4.157 Å, 2θ 21.37, rel. 17
- 1.107 Å, 2θ 88.31, rel. 13
- 2.677 Å, 2θ 33.47, rel. 13
- 2.126 Å, 2θ 42.51, rel. 12

=====

(12)
Structure and computed X-ray diffraction stick pattern of HfSb2Pd4 (a crystal structure in Alexandria, relaxed with PBE; λ = 1.5418 Å (Cu Kα)).

Atomic structure:
Lattice parameters (Å, degrees): 4.1345 4.1345 7.7733 90.00 90.00 90.00
Fractional positions:
Hf: 0.0000 0.0000 0.0000
Sb: 0.0000 0.0000 0.5000
Sb: 0.5000 0.5000 0.0000
Pd: 0.0000 0.5000 0.2680
Pd: 0.0000 0.5000 0.7320
Pd: 0.5000 0.0000 0.2680
Pd: 0.5000 0.0000 0.7320

The 10 most intense peaks (2θ from 10° to 90°), by intensity:
- 2.336 Å, 2θ 38.53, rel. 100
- 2.067 Å, 2θ 43.79, rel. 36
- 1.239 Å, 2θ 76.94, rel. 26
- 1.416 Å, 2θ 65.98, rel. 19
- 1.943 Å, 2θ 46.74, rel. 13
- 1.462 Å, 2θ 63.66, rel. 12
- 2.736 Å, 2θ 32.73, rel. 11
- 7.773 Å, 2θ 11.38, rel. 10
- 1.168 Å, 2θ 82.59, rel. 10
- 4.134 Å, 2θ 21.49, rel. 10